1.
Structure and calculated X-ray powder pattern of NaAg2Br2Cl (a DFT-relaxed cell (PBE, Alexandria); Cu Kα).

Most intense lines, 2θ = 10–80°, in order of falling intensity:
44.0 deg, I 100.0, (0 2 3)
23.2 deg, I 78.2, (3 1 0)
24.4 deg, I 67.8, (0 0 2)
40.5 deg, I 67.4, (3 3 0)
26.2 deg, I 53.2, (3 1 1)
13.4 deg, I 45.5, (2 0 0)
47.8 deg, I 40.6, (3 3 2)
23.0 deg, I 37.7, (0 2 0)
40.8 deg, I 33.1, (6 0 0)
33.9 deg, I 28.4, (3 1 2)

Structure:
Unit cell a=13.2604 b=7.7332 c=7.3106 alpha=90.00 beta=90.00 gamma=90.00
Space group Cmc2_1 (No. 36)
One atom of each set of equivalent atoms:
Na 0.0000 0.1592 0.0000 [4 per cell]
Ag 0.1646 0.3297 0.4716 [8 per cell]
Br 0.1694 0.3396 0.8447 [8 per cell]
Cl 0.0000 0.1674 0.3684 [4 per cell]

2.
Structure and calculated X-ray powder pattern of PrY7Tm4 (a DFT-relaxed cell (PBE, Alexandria); Cu Kα).

Most intense lines, 2θ = 10–80°, in order of falling intensity:
32.0 deg, I 100.0, (-1 2 1)
33.7 deg, I 93.8, (1 -2 2)
31.3 deg, I 52.5, (0 0 3)
61.0 deg, I 45.7, (3 2 4)
51.0 deg, I 39.6, (3 2 1)
29.0 deg, I 33.1, (2 0 1)
29.6 deg, I 26.4, (2 0 0)
55.0 deg, I 20.2, (-1 2 4)
58.3 deg, I 19.8, (1 -2 5)
62.5 deg, I 15.2, (4 0 3)

Structure:
Unit cell a=6.2052 b=7.1718 c=8.8286 alpha=89.97 beta=76.41 gamma=89.96
Space group P-1 (No. 2)
One atom of each set of equivalent atoms:
Pr 0.0000 0.0000 0.0000 [1 per cell]
Y 0.0000 0.5000 0.0000 [1 per cell]
Y 0.2228 0.0004 0.3359 [2 per cell]
Y 0.2805 0.7471 0.6630 [2 per cell]
Y 0.4991 0.2520 0.9988 [2 per cell]
Tm 0.2205 0.5002 0.3365 [2 per cell]
Tm 0.2770 0.2526 0.6644 [2 per cell]

3.
Structure and calculated X-ray powder pattern of NaTe2Au (a DFT-relaxed cell (PBE, Alexandria); Cu Kα).

Most intense lines, 2θ = 10–80°, in order of falling intensity:
30.5 deg, I 100.0, (0 1 -1)
21.8 deg, I 74.9, (1 0 1)
31.4 deg, I 70.3, (-1 1 1)
16.6 deg, I 63.7, (0 0 1)
20.0 deg, I 58.2, (0 1 0)
20.1 deg, I 49.8, (1 0 0)
39.1 deg, I 45.6, (2 0 1)
44.7 deg, I 43.1, (1 0 -2)
26.5 deg, I 43.0, (1 1 1)
33.5 deg, I 42.5, (1 0 2)

Structure:
Unit cell a=4.6348 b=4.7913 c=6.0341 alpha=68.61 beta=72.68 gamma=87.98
Space group P1 (No. 1)
One atom of each set of equivalent atoms:
Na 0.0000 0.0000 0.0000 [1 per cell]
Te 0.4087 0.2869 0.2300 [1 per cell]
Te 0.6137 0.7421 0.7252 [1 per cell]
Au 0.1845 0.6253 0.5072 [1 per cell]